Diffraction record for SrSmGe. The PXRD pattern is theoretical, not measured: it uses a DFT-relaxed cell (PBE, Alexandria) and CuKα.

Crystal structure
```
data_SrSmGe
_chemical_formula_sum 'Sr4 Sm4 Ge4'
_cell_length_a 7.322
_cell_length_b 7.322
_cell_length_c 7.322
_cell_angle_alpha 90.00
_cell_angle_beta 90.00
_cell_angle_gamma 90.00
_symmetry_space_group_name_H-M 'F -4 3 m'
_symmetry_Int_Tables_number 216
_symmetry_space_group_name_Hall 'F -4 2 3'
loop_
_atom_site_label
_atom_site_type_symbol
_atom_site_fract_x
_atom_site_fract_y
_atom_site_fract_z
Sr1 Sr 0.000 0.000 0.000
Sm1 Sm 0.000 0.000 0.500
Ge1 Ge 0.250 0.250 0.250
```

Most intense lines, 2θ from 10° to 90°, by angle:
2theta	I/Imax	index
21.0	23	1 1 1
24.3	33	2 0 0
34.7	100	2 2 0
40.9	12	3 1 1
42.8	10	2 2 2
49.8	18	4 0 0
56.2	13	4 2 0
62.1	36	4 2 2
73.1	11	4 4 0
83.5	16	6 2 0

***

Diffraction record for KBi3Au. The PXRD pattern is theoretical, not measured: it uses a DFT-relaxed cell (PBE, Alexandria) and CuKα.

Crystal structure
```
data_KBi3Au
_chemical_formula_sum 'K2 Bi6 Au2'
_cell_length_a 7.083
_cell_length_b 6.804
_cell_length_c 6.825
_cell_angle_alpha 90.00
_cell_angle_beta 90.00
_cell_angle_gamma 90.00
_symmetry_space_group_name_H-M 'P m n 21'
_symmetry_Int_Tables_number 31
_symmetry_space_group_name_Hall 'P 2ac -2'
loop_
_atom_site_label
_atom_site_type_symbol
_atom_site_fract_x
_atom_site_fract_y
_atom_site_fract_z
K1 K 0.000 0.223 0.000
Bi1 Bi 0.000 0.892 0.611
Bi2 Bi 0.245 0.282 0.494
Au1 Au 0.000 0.592 0.314
```

Most intense lines, 2θ from 10° to 90°, by angle:
2theta	I/Imax	index
18.1	42	1 0 1
18.4	25	0 1 1
22.3	45	1 1 1
26.1	24	0 0 2
29.3	41	0 2 1
31.3	100	2 1 1
36.6	43	2 0 2
39.0	37	2 1 2
39.5	21	1 2 2
41.9	34	0 1 3

***

Diffraction record for Ca3MgNi8. The PXRD pattern is theoretical, not measured: it uses a DFT-relaxed cell (PBE, Alexandria) and CuKα.

Crystal structure
```
data_Ca3MgNi8
_chemical_formula_sum 'Ca9 Mg3 Ni24'
_cell_length_a 5.0236
_cell_length_b 5.0236
_cell_length_c 24.5775
_cell_angle_alpha 90.00
_cell_angle_beta 90.00
_cell_angle_gamma 120.00
_symmetry_space_group_name_H-M 'R 3 m'
_symmetry_Int_Tables_number 160
_symmetry_space_group_name_Hall 'R 3 -2"'
loop_
_atom_site_label
_atom_site_type_symbol
_atom_site_fract_x
_atom_site_fract_y
_atom_site_fract_z
Ca1 Ca 0.0000 0.0000 0.0000
Ca2 Ca 0.0000 0.0000 0.1264
Ca3 Ca 0.0000 0.0000 0.6224
Mg1 Mg 0.0000 0.0000 0.4993
Ni1 Ni 0.0000 0.0000 0.3120
Ni2 Ni 0.0000 0.0000 0.8126
Ni3 Ni 0.0040 0.5020 0.0642
Ni4 Ni 0.1674 0.3348 0.8935
```

Most intense lines, 2θ from 10° to 90°, by angle:
2theta	I/Imax	index
21.7	34	0 0 6
35.8	14	1 1 0
42.2	100	2 0 2
44.2	58	0 2 4
51.5	14	2 0 8
56.5	7	1 2 2
64.3	4	3 0 0
68.7	28	3 0 6
75.8	26	2 2 0
79.9	5	1 2 14

***

Diffraction record for Ti6MnSn. The PXRD pattern is theoretical, not measured: it uses a DFT-relaxed cell (PBE, Alexandria) and CuKα.

Crystal structure
```
data_Ti6MnSn
_chemical_formula_sum 'Ti12 Mn2 Sn2'
_cell_length_a 5.847
_cell_length_b 9.737
_cell_length_c 5.721
_cell_angle_alpha 90.00
_cell_angle_beta 118.14
_cell_angle_gamma 90.00
_symmetry_space_group_name_H-M 'C 1 2/m 1'
_symmetry_Int_Tables_number 12
_symmetry_space_group_name_Hall '-C 2y'
loop_
_atom_site_label
_atom_site_type_symbol
_atom_site_fract_x
_atom_site_fract_y
_atom_site_fract_z
Ti1 Ti 0.225 0.222 0.231
Ti2 Ti 0.231 0.000 0.787
Mn1 Mn 0.000 0.000 0.000
Sn1 Sn 0.000 0.500 0.500
```

Most intense lines, 2θ from 10° to 90°, by angle:
2theta	I/Imax	index
20.1	67	1 1 -1
31.5	88	1 1 1
36.2	100	2 0 -2
36.9	85	0 4 0
39.6	53	2 2 0
40.3	54	0 2 2
41.2	96	1 3 1
52.7	52	2 4 -2
56.5	43	1 3 -3
75.4	39	1 7 1

***

Diffraction record for HgPt2. The PXRD pattern is theoretical, not measured: it uses a DFT-relaxed cell (PBE, Alexandria) and CuKα.

Crystal structure
```
data_HgPt2
_chemical_formula_sum 'Hg4 Pt8'
_cell_length_a 2.835
_cell_length_b 4.462
_cell_length_c 17.993
_cell_angle_alpha 90.00
_cell_angle_beta 90.00
_cell_angle_gamma 90.00
_symmetry_space_group_name_H-M 'I m m a'
_symmetry_Int_Tables_number 74
_symmetry_space_group_name_Hall '-I 2b 2'
loop_
_atom_site_label
_atom_site_type_symbol
_atom_site_fract_x
_atom_site_fract_y
_atom_site_fract_z
Hg1 Hg 0.000 0.250 0.119
Pt1 Pt 0.000 0.250 0.540
Pt2 Pt 0.000 0.250 0.688
```

Most intense lines, 2θ from 10° to 90°, by angle:
2theta	I/Imax	index
20.5	7	0 1 1
32.0	19	0 1 5
38.9	65	1 1 2
40.5	100	0 2 0
56.3	8	1 0 9
58.6	18	1 2 5
71.6	9	1 2 9
72.5	11	1 3 2
73.6	8	0 3 7
80.3	21	2 2 0

***

Diffraction record for DySb3Au. The PXRD pattern is theoretical, not measured: it uses a DFT-relaxed cell (PBE, Alexandria) and CuKα.

Crystal structure
```
data_DySb3Au
_chemical_formula_sum 'Dy4 Sb12 Au4'
_cell_length_a 13.289
_cell_length_b 6.215
_cell_length_c 6.176
_cell_angle_alpha 90.00
_cell_angle_beta 90.00
_cell_angle_gamma 90.00
_symmetry_space_group_name_H-M 'P b c m'
_symmetry_Int_Tables_number 57
_symmetry_space_group_name_Hall '-P 2c 2b'
loop_
_atom_site_label
_atom_site_type_symbol
_atom_site_fract_x
_atom_site_fract_y
_atom_site_fract_z
Dy1 Dy 0.181 0.017 0.250
Sb1 Sb 0.000 0.250 0.000
Sb2 Sb 0.244 0.531 0.250
Sb3 Sb 0.433 0.659 0.750
Au1 Au 0.371 0.250 0.000
```

Most intense lines, 2θ from 10° to 90°, by angle:
2theta	I/Imax	index
31.8	76	2 2 0
32.0	38	2 0 2
33.1	40	1 1 2
33.7	53	5 0 0
33.9	42	4 1 1
35.1	73	2 1 2
35.3	78	3 2 0
35.4	100	3 0 2
41.2	84	0 2 2
54.3	35	5 2 2

***

Diffraction record for Th4Be3GeRh12. The PXRD pattern is theoretical, not measured: it uses a DFT-relaxed cell (PBE, Alexandria) and CuKα.

Crystal structure
```
data_Th4Be3GeRh12
_chemical_formula_sum 'Th8 Be6 Ge2 Rh24'
_cell_length_a 8.765
_cell_length_b 8.765
_cell_length_c 8.765
_cell_angle_alpha 90.00
_cell_angle_beta 90.00
_cell_angle_gamma 90.00
_symmetry_space_group_name_H-M 'I m -3 m'
_symmetry_Int_Tables_number 229
_symmetry_space_group_name_Hall '-I 4 2 3'
loop_
_atom_site_label
_atom_site_type_symbol
_atom_site_fract_x
_atom_site_fract_y
_atom_site_fract_z
Th1 Th 0.250 0.250 0.250
Be1 Be 0.000 0.000 0.500
Ge1 Ge 0.000 0.000 0.000
Rh1 Rh 0.000 0.000 0.263
Rh2 Rh 0.000 0.250 0.500
```

Most intense lines, 2θ from 10° to 90°, by angle:
2theta	I/Imax	index
20.3	9	2 0 0
28.8	19	2 2 0
35.5	100	2 2 2
41.2	59	4 0 0
46.3	5	4 2 0
51.0	8	4 2 2
59.7	39	4 4 0
71.4	38	6 2 2
75.1	13	4 4 4
89.4	6	8 0 0

***

Diffraction record for Nd5Hg2Rh. The PXRD pattern is theoretical, not measured: it uses a DFT-relaxed cell (PBE, Alexandria) and CuKα.

Crystal structure
```
data_Nd5Hg2Rh
_chemical_formula_sum 'Nd10 Hg4 Rh2'
_cell_length_a 7.873
_cell_length_b 12.149
_cell_length_c 4.925
_cell_angle_alpha 90.00
_cell_angle_beta 90.00
_cell_angle_gamma 90.00
_symmetry_space_group_name_H-M 'P b a m'
_symmetry_Int_Tables_number 55
_symmetry_space_group_name_Hall '-P 2 2ab'
loop_
_atom_site_label
_atom_site_type_symbol
_atom_site_fract_x
_atom_site_fract_y
_atom_site_fract_z
Nd1 Nd 0.000 0.000 0.000
Nd2 Nd 0.142 0.295 0.000
Nd3 Nd 0.180 0.579 0.500
Hg1 Hg 0.076 0.836 0.500
Rh1 Rh 0.000 0.500 0.000
```

Most intense lines, 2θ from 10° to 90°, by angle:
2theta	I/Imax	index
30.0	100	2 1 1
30.8	63	1 3 1
31.6	36	1 4 0
31.7	18	2 3 0
32.6	49	2 2 1
34.7	40	0 4 1
36.5	57	0 0 2
37.3	17	3 2 0
41.8	19	3 2 1
49.0	32	1 4 2

***

Diffraction record for Nb6VRh. The PXRD pattern is theoretical, not measured: it uses a DFT-relaxed cell (PBE, Alexandria) and CuKα.

Crystal structure
```
data_Nb6VRh
_chemical_formula_sum 'Nb12 V2 Rh2'
_cell_length_a 4.601
_cell_length_b 4.601
_cell_length_c 12.982
_cell_angle_alpha 90.00
_cell_angle_beta 90.00
_cell_angle_gamma 90.00
_symmetry_space_group_name_H-M 'I 4/m m m'
_symmetry_Int_Tables_number 139
_symmetry_space_group_name_Hall '-I 4 2'
loop_
_atom_site_label
_atom_site_type_symbol
_atom_site_fract_x
_atom_site_fract_y
_atom_site_fract_z
Nb1 Nb 0.000 0.000 0.246
Nb2 Nb 0.000 0.500 0.122
V1 V 0.000 0.000 0.000
Rh1 Rh 0.000 0.000 0.500
```

Most intense lines, 2θ from 10° to 90°, by angle:
2theta	I/Imax	index
20.5	2	1 0 1
28.3	2	1 0 3
30.7	1	1 1 2
39.2	100	2 0 0
49.0	1	2 1 3
56.6	11	2 2 0
56.7	5	0 0 8
71.0	33	3 1 4
84.2	3	4 0 0
84.3	7	2 2 8

***

Diffraction record for AcPmNiPd. The PXRD pattern is theoretical, not measured: it uses a DFT-relaxed cell (PBE, Alexandria) and CuKα.

Crystal structure
```
data_AcPmNiPd
_chemical_formula_sum 'Ac2 Pm2 Ni2 Pd2'
_cell_length_a 4.561
_cell_length_b 4.003
_cell_length_c 10.976
_cell_angle_alpha 90.00
_cell_angle_beta 90.00
_cell_angle_gamma 90.00
_symmetry_space_group_name_H-M 'A m m 2'
_symmetry_Int_Tables_number 38
_symmetry_space_group_name_Hall 'A 2 -2'
loop_
_atom_site_label
_atom_site_type_symbol
_atom_site_fract_x
_atom_site_fract_y
_atom_site_fract_z
Ac1 Ac 0.000 0.000 0.000
Pm1 Pm 0.500 0.000 0.274
Ni1 Ni 0.000 0.000 0.724
Pd1 Pd 0.500 0.000 0.566
```

Most intense lines, 2θ from 10° to 90°, by angle:
2theta	I/Imax	index
25.4	30	1 0 2
30.8	100	1 1 1
32.6	27	0 0 4
33.2	33	0 1 3
38.3	16	1 0 4
38.8	53	1 1 3
39.5	27	2 0 0
45.3	18	0 2 0
52.5	18	2 1 3
61.7	15	2 2 0

***

Diffraction record for CeSnH8Ir2. The PXRD pattern is theoretical, not measured: it uses a DFT-relaxed cell (PBE, Alexandria) and CuKα.

Crystal structure
```
data_CeSnH8Ir2
_chemical_formula_sum 'Ce3 Sn3 H24 Ir6'
_cell_length_a 4.1282
_cell_length_b 4.1282
_cell_length_c 24.6802
_cell_angle_alpha 90.00
_cell_angle_beta 90.00
_cell_angle_gamma 120.00
_symmetry_space_group_name_H-M 'R -3'
_symmetry_Int_Tables_number 148
_symmetry_space_group_name_Hall '-R 3'
loop_
_atom_site_label
_atom_site_type_symbol
_atom_site_fract_x
_atom_site_fract_y
_atom_site_fract_z
Ce1 Ce 0.0000 0.0000 0.0000
Sn1 Sn 0.0000 0.0000 0.5000
H1 H 0.0000 0.0000 0.3190
H2 H 0.0074 0.5899 0.7504
Ir1 Ir 0.0000 0.0000 0.2517
```

Most intense lines, 2θ from 10° to 90°, by angle:
2theta	I/Imax	index
28.9	100	1 0 4
38.5	46	0 1 8
43.9	33	1 1 0
44.0	11	0 0 12
53.4	19	0 2 4
59.8	13	2 0 8
63.9	21	1 1 12
66.0	10	1 0 16
71.5	16	2 1 4
77.0	13	1 2 8

***

Diffraction record for Pr2TeS. The PXRD pattern is theoretical, not measured: it uses a DFT-relaxed cell (PBE, Alexandria) and CuKα.

Crystal structure
```
data_Pr2TeS
_chemical_formula_sum 'Pr8 Te4 S4'
_cell_length_a 8.655
_cell_length_b 7.206
_cell_length_c 7.494
_cell_angle_alpha 90.00
_cell_angle_beta 90.00
_cell_angle_gamma 90.00
_symmetry_space_group_name_H-M 'P b c m'
_symmetry_Int_Tables_number 57
_symmetry_space_group_name_Hall '-P 2c 2b'
loop_
_atom_site_label
_atom_site_type_symbol
_atom_site_fract_x
_atom_site_fract_y
_atom_site_fract_z
Pr1 Pr 0.099 0.250 0.000
Pr2 Pr 0.338 0.750 0.000
Te1 Te 0.379 0.105 0.250
S1 S 0.122 0.575 0.250
```

Most intense lines, 2θ from 10° to 90°, by angle:
2theta	I/Imax	index
24.0	28	2 1 0
24.7	25	0 2 0
26.8	27	2 1 1
27.5	15	0 2 1
34.0	100	2 1 2
34.5	43	0 2 2
43.1	34	2 3 0
55.3	18	4 2 2
56.7	15	0 4 2
66.9	19	2 3 4

***

Diffraction record for PuTh2Fe. The PXRD pattern is theoretical, not measured: it uses a DFT-relaxed cell (PBE, Alexandria) and CuKα.

Crystal structure
```
data_PuTh2Fe
_chemical_formula_sum 'Pu4 Th8 Fe4'
_cell_length_a 7.157
_cell_length_b 9.648
_cell_length_c 5.952
_cell_angle_alpha 90.00
_cell_angle_beta 90.00
_cell_angle_gamma 90.00
_symmetry_space_group_name_H-M 'P n m a'
_symmetry_Int_Tables_number 62
_symmetry_space_group_name_Hall '-P 2ac 2n'
loop_
_atom_site_label
_atom_site_type_symbol
_atom_site_fract_x
_atom_site_fract_y
_atom_site_fract_z
Pu1 Pu 0.082 0.250 0.206
Th1 Th 0.134 0.058 0.720
Fe1 Fe 0.139 0.750 0.493
```

Most intense lines, 2θ from 10° to 90°, by angle:
2theta	I/Imax	index
26.6	32	2 1 0
29.1	17	2 0 1
30.0	41	0 0 2
31.6	87	0 3 1
34.7	100	2 2 1
40.5	34	2 1 2
54.0	18	2 5 0
56.3	19	2 2 3
61.3	18	4 3 1
63.0	28	2 5 2